This entry pairs a crystal structure of Li3Hf3CuSe8 with its theoretical X-ray diffraction stick pattern. Radiation: Cu Kα. Structure: a crystal structure in Alexandria, relaxed with GGA-PBE.

Atomic structure:
Unit cell a=7.5861 b=7.5861 c=7.8076 alpha=119.07 beta=119.07 gamma=60.05
Atoms (fractional coordinates):
Li  0.0000  0.0000  0.0000
Li  0.0000  0.5000  0.0000
Li  0.5000  0.0000  0.0000
Hf  0.0000  0.5000  0.5000
Hf  0.5000  0.0000  0.5000
Hf  0.5000  0.5000  0.5000
Cu  0.0000  0.0000  0.5000
Se  0.2449  0.2449  0.7353
Se  0.2458  0.7445  0.7359
Se  0.2505  0.2505  0.2516
Se  0.2555  0.7542  0.2641
Se  0.7445  0.2458  0.7359
Se  0.7495  0.7495  0.7484
Se  0.7542  0.2555  0.2641
Se  0.7551  0.7551  0.2647

Main lines, most intense first (2θ = 10–90°):
| 2θ (°) | d_spacing | I/Imax |
| --- | --- | --- |
| 32.93 | 2.720 | 100 |
| 13.70 | 6.463 | 67 |
| 46.57 | 1.950 | 37 |
| 47.96 | 1.897 | 35 |
| 27.53 | 3.239 | 33 |
| 59.40 | 1.556 | 18 |

This entry pairs a crystal structure of Li2HfCu2Se4 with its theoretical X-ray diffraction stick pattern. Radiation: Cu Kα. Structure: a crystal structure in Alexandria, relaxed with GGA-PBE.

Atomic structure:
Unit cell a=7.4160 b=7.4160 c=7.3829 alpha=118.50 beta=118.50 gamma=29.86
Atoms (fractional coordinates):
Li  0.1526  0.1526  0.0275
Li  0.8474  0.8474  0.9725
Hf  0.0000  0.0000  0.5000
Cu  0.3188  0.3188  0.5173
Cu  0.6812  0.6812  0.4827
Se  0.2194  0.2194  0.7245
Se  0.4920  0.4920  0.2342
Se  0.5080  0.5080  0.7658
Se  0.7806  0.7806  0.2755

Main lines, most intense first (2θ = 10–90°):
| 2θ (°) | d_spacing | I/Imax |
| --- | --- | --- |
| 13.79 | 6.420 | 100 |
| 34.67 | 2.587 | 54 |
| 26.26 | 3.394 | 39 |
| 39.03 | 2.308 | 37 |
| 49.75 | 1.833 | 34 |
| 28.65 | 3.115 | 32 |

Number 2 is which compound? Li2HfCu2Se4